1.
Starting from a GGA+U-relaxed structure, the powder X-ray diffraction pattern of BaLa3Mn4O12 was simulated for a wavelength of 1.5418 Å.
No peak broadening, texture or thermal motion is included.

abc: 7.8963 7.8963 7.8963
angles: 90.00 90.00 90.00
Space group Im-3m (No. 229)
Inequivalent atoms, fractional coordinates:
1 Ba 0.0000 0.0000 0.0000 x2
2 La 0.0000 0.0000 0.5000 x6
3 Mn 0.2500 0.2500 0.2500 x8
4 O 0.0000 0.2573 0.2573 x24

Most intense lines, 10 to 90 degrees two-theta, sorted by position:
Position (°2θ)  d/Å  intensity
22.5  3.948  14
32.1  2.792  100
39.5  2.279  20
46.0  1.974  33
51.8  1.766  8
57.1  1.612  38
67.0  1.396  19
76.3  1.249  16

=====

2.
Starting from a GGA+U-relaxed structure, the powder X-ray diffraction pattern of Li3Cr4P6O24 was simulated for a wavelength of 1.5418 Å.
No peak broadening, texture or thermal motion is included.

abc: 11.8533 12.3681 6.3197
angles: 90.00 111.97 90.00
Space group C2 (No. 5)
Inequivalent atoms, fractional coordinates:
1 Li 0.0000 0.0000 0.0000 x2
2 Li 0.9997 0.4805 0.2504 x4
3 Cr 0.2197 0.8210 0.8898 x4
4 Cr 0.2209 0.1439 0.3941 x4
5 P 0.0000 0.2544 0.0000 x2
6 P 0.0000 0.7093 0.5000 x2
7 P 0.2471 0.3862 0.6074 x4
8 P 0.2468 0.5778 0.1011 x4
9 O 0.0499 0.7821 0.7140 x4
10 O 0.0506 0.1773 0.2090 x4
11 O 0.0974 0.3304 0.9709 x4
12 O 0.0980 0.6327 0.4719 x4
13 O 0.1157 0.4160 0.5503 x4
14 O 0.1169 0.5462 0.0512 x4
15 O 0.1701 0.9787 0.8849 x4
16 O 0.1712 0.9880 0.3613 x4
17 O 0.1928 0.8178 0.1715 x4
18 O 0.1947 0.1440 0.6735 x4
19 O 0.2407 0.8090 0.5851 x4
20 O 0.2423 0.1572 0.0885 x4

Most intense lines, 10 to 90 degrees two-theta, sorted by position:
Position (°2θ)  d/Å  intensity
14.3  6.184  20
15.9  5.563  34
16.1  5.496  100
25.9  3.438  23
29.4  3.042  41
32.6  2.748  15
32.7  2.735  29
33.2  2.695  25

=====

3.
Starting from a GGA+U-relaxed structure, the powder X-ray diffraction pattern of Na3Zn2Mo3O12 was simulated for a wavelength of 1.5418 Å.
No peak broadening, texture or thermal motion is included.

abc: 12.2513 14.0770 7.3147
angles: 90.00 114.01 90.00
Space group C2/c (No. 15)
Inequivalent atoms, fractional coordinates:
1 Na 0.0000 0.0000 0.0000 x4
2 Na 0.0000 0.2349 0.2500 x4
3 Na 0.0000 0.4775 0.7500 x4
4 Zn 0.2121 0.3452 0.1268 x8
5 Mo 0.0000 0.2222 0.7500 x4
6 Mo 0.2278 0.3970 0.6205 x8
7 O 0.0448 0.2987 0.9798 x8
8 O 0.1133 0.1358 0.7370 x8
9 O 0.1183 0.0789 0.3060 x8
10 O 0.1467 0.4912 0.0866 x8
11 O 0.1730 0.3350 0.3848 x8
12 O 0.2129 0.3293 0.8189 x8

Most intense lines, 10 to 90 degrees two-theta, sorted by position:
Position (°2θ)  d/Å  intensity
15.8  5.595  36
22.7  3.925  36
25.3  3.517  72
28.4  3.143  35
28.7  3.114  33
30.0  2.979  100
31.1  2.872  33
32.0  2.798  28

=====

4.
Starting from a GGA+U-relaxed structure, the powder X-ray diffraction pattern of Ba2SrV2O8 was simulated for a wavelength of 1.5418 Å.
No peak broadening, texture or thermal motion is included.

abc: 5.8480 5.8480 21.1592
angles: 90.00 90.00 120.00
Space group R3m (No. 160, hexagonal axes)
Inequivalent atoms, fractional coordinates:
1 Ba 0.0000 0.0000 0.0000 x3
2 Ba 0.0000 0.0000 0.2037 x3
3 Sr 0.0000 0.0000 0.7948 x3
4 V 0.0000 0.0000 0.4078 x3
5 V 0.0000 0.0000 0.5925 x3
6 O 0.0000 0.0000 0.3264 x3
7 O 0.0000 0.0000 0.6751 x3
8 O 0.0090 0.5045 0.2305 x9
9 O 0.1704 0.3408 0.1017 x9

Most intense lines, 10 to 90 degrees two-theta, sorted by position:
Position (°2θ)  d/Å  intensity
27.5  3.247  100
30.6  2.924  94
41.6  2.173  44
46.5  1.952  27
52.5  1.744  32
54.3  1.688  18
63.6  1.462  16
65.8  1.420  19

=====

5.
Starting from a GGA+U-relaxed structure, the powder X-ray diffraction pattern of TiFeO4 was simulated for a wavelength of 1.5418 Å.
No peak broadening, texture or thermal motion is included.

abc: 10.3721 3.8195 7.6196
angles: 90.00 111.56 90.00
Space group Cm (No. 8)
Inequivalent atoms, fractional coordinates:
1 Ti 0.0000 0.0000 0.0000 x2
2 Ti 0.0051 0.0000 0.5010 x2
3 Fe 0.2517 0.0000 0.8746 x2
4 Fe 0.2547 0.0000 0.3770 x2
5 O 0.0481 0.0000 0.7761 x2
6 O 0.0485 0.0000 0.2710 x2
7 O 0.2091 0.0000 0.6042 x2
8 O 0.2098 0.0000 0.1039 x2
9 O 0.2950 0.5000 0.8986 x2
10 O 0.2978 0.5000 0.3965 x2
11 O 0.4555 0.0000 0.9768 x2
12 O 0.4595 0.0000 0.4799 x2

Most intense lines, 10 to 90 degrees two-theta, sorted by position:
Position (°2θ)  d/Å  intensity
25.1  3.547  100
37.3  2.412  19
38.2  2.354  10
47.6  1.910  14
47.7  1.905  14
53.2  1.722  19
54.6  1.680  19
74.2  1.278  12

=====

6.
Starting from a GGA+U-relaxed structure, the powder X-ray diffraction pattern of Sr2GdVO6 was simulated for a wavelength of 1.5418 Å.
No peak broadening, texture or thermal motion is included.

abc: 8.2648 8.2648 8.2648
angles: 90.00 90.00 90.00
Space group Fm-3m (No. 225)
Inequivalent atoms, fractional coordinates:
1 Sr 0.2500 0.2500 0.2500 x8
2 Gd 0.0000 0.0000 0.0000 x4
3 V 0.0000 0.0000 0.5000 x4
4 O 0.0000 0.0000 0.2701 x24

Most intense lines, 10 to 90 degrees two-theta, sorted by position:
Position (°2θ)  d/Å  intensity
18.6  4.772  14
30.6  2.922  100
36.0  2.492  12
43.8  2.066  33
54.4  1.687  39
63.7  1.461  20
72.3  1.307  18
88.5  1.104  21

=====

7.
Starting from a GGA+U-relaxed structure, the powder X-ray diffraction pattern of La6WO12 was simulated for a wavelength of 1.5418 Å.
No peak broadening, texture or thermal motion is included.

abc: 10.3923 10.3923 9.9947
angles: 90.00 90.00 120.00
Space group R-3 (No. 148, hexagonal axes)
Inequivalent atoms, fractional coordinates:
1 La 0.0463 0.7912 0.1482 x18
2 W 0.0000 0.0000 0.5000 x3
3 O 0.0359 0.8093 0.9034 x18
4 O 0.0388 0.8621 0.3925 x18

Most intense lines, 10 to 90 degrees two-theta, sorted by position:
Position (°2θ)  d/Å  intensity
26.8  3.332  33
27.7  3.220  100
31.8  2.812  47
45.0  2.014  30
46.2  1.964  28
53.1  1.723  13
54.2  1.692  26
54.7  1.677  13